Simulated XRD peak list
Compound: Rb2HgRuF6
Radiation: λ = 1.5418 Å (Cu Kα)
Structure: DFT lattice parameters and positions (GGA-PBE)

```
data_Rb2HgRuF6
_cell_length_a 9.7009
_cell_length_b 9.7009
_cell_length_c 9.7009
_cell_angle_alpha 90.00
_cell_angle_beta 90.00
_cell_angle_gamma 90.00
_space_group_name_H-M_alt 'F m -3 m'
_space_group_IT_number 225
_space_group_name_Hall '-F 4 2 3'
loop_
_atom_site_label
_atom_site_type_symbol
_atom_site_fract_x
_atom_site_fract_y
_atom_site_fract_z
Rb1 Rb 0.2500 0.2500 0.2500
Hg1 Hg 0.0000 0.0000 0.0000
Ru1 Ru 0.0000 0.0000 0.5000
F1 F 0.0000 0.0000 0.2980
```

Principal peaks in the range 10° ≤ 2θ ≤ 90°, in order of falling intensity:
2θ = 25.98°, d = 3.430 Å, I = 100, (2 2 0)
2θ = 45.82°, d = 1.980 Å, I = 39, (4 2 2)
2θ = 37.07°, d = 2.425 Å, I = 31, (4 0 0)
2θ = 72.98°, d = 1.296 Å, I = 24, (6 4 2)
2θ = 60.35°, d = 1.534 Å, I = 22, (6 2 0)
2θ = 53.43°, d = 1.715 Å, I = 19, (4 4 0)
2θ = 18.29°, d = 4.850 Å, I = 18, (2 0 0)
2θ = 84.80°, d = 1.143 Å, I = 11, (6 6 0)
2θ = 30.56°, d = 2.925 Å, I = 7, (3 1 1)
2θ = 40.53°, d = 2.226 Å, I = 7, (3 3 1)

Simulated XRD peak list
Compound: Rb2TaHgF6
Radiation: λ = 1.5418 Å (Cu Kα)
Structure: DFT lattice parameters and positions (GGA-PBE)

```
data_Rb2TaHgF6
_cell_length_a 9.9455
_cell_length_b 9.9455
_cell_length_c 9.9455
_cell_angle_alpha 90.00
_cell_angle_beta 90.00
_cell_angle_gamma 90.00
_space_group_name_H-M_alt 'F m -3 m'
_space_group_IT_number 225
_space_group_name_Hall '-F 4 2 3'
loop_
_atom_site_label
_atom_site_type_symbol
_atom_site_fract_x
_atom_site_fract_y
_atom_site_fract_z
Rb1 Rb 0.2500 0.2500 0.2500
Ta1 Ta 0.0000 0.0000 0.0000
Hg1 Hg 0.0000 0.0000 0.5000
F1 F 0.0000 0.0000 0.2006
```

Principal peaks in the range 10° ≤ 2θ ≤ 90°, in order of falling intensity:
2θ = 25.33°, d = 3.516 Å, I = 100, (2 2 0)
2θ = 44.64°, d = 2.030 Å, I = 40, (4 2 2)
2θ = 36.13°, d = 2.486 Å, I = 30, (4 0 0)
2θ = 17.84°, d = 4.973 Å, I = 26, (2 0 0)
2θ = 70.91°, d = 1.329 Å, I = 24, (6 4 2)
2θ = 58.71°, d = 1.573 Å, I = 23, (6 2 0)
2θ = 52.02°, d = 1.758 Å, I = 19, (4 4 0)
2θ = 82.25°, d = 1.172 Å, I = 11, (6 6 0)
2θ = 40.57°, d = 2.224 Å, I = 11, (4 2 0)
2θ = 87.79°, d = 1.112 Å, I = 8, (8 4 0)

Simulated XRD peak list
Compound: Rb2YHgF6
Radiation: λ = 1.5418 Å (Cu Kα)
Structure: DFT lattice parameters and positions (GGA-PBE)

```
data_Rb2YHgF6
_cell_length_a 9.5516
_cell_length_b 9.5516
_cell_length_c 9.5516
_cell_angle_alpha 90.00
_cell_angle_beta 90.00
_cell_angle_gamma 90.00
_space_group_name_H-M_alt 'F m -3 m'
_space_group_IT_number 225
_space_group_name_Hall '-F 4 2 3'
loop_
_atom_site_label
_atom_site_type_symbol
_atom_site_fract_x
_atom_site_fract_y
_atom_site_fract_z
Rb1 Rb 0.2500 0.2500 0.2500
Y1 Y 0.0000 0.0000 0.0000
Hg1 Hg 0.0000 0.0000 0.5000
F1 F 0.0000 0.0000 0.2285
```

Principal peaks in the range 10° ≤ 2θ ≤ 90°, in order of falling intensity:
2θ = 26.39°, d = 3.377 Å, I = 100, (2 2 0)
2θ = 46.58°, d = 1.950 Å, I = 42, (4 2 2)
2θ = 37.67°, d = 2.388 Å, I = 36, (4 0 0)
2θ = 54.33°, d = 1.688 Å, I = 23, (4 4 0)
2θ = 74.31°, d = 1.276 Å, I = 23, (6 4 2)
2θ = 61.39°, d = 1.510 Å, I = 20, (6 2 0)
2θ = 18.58°, d = 4.776 Å, I = 16, (2 0 0)
2θ = 86.45°, d = 1.126 Å, I = 12, (6 6 0)
2θ = 31.05°, d = 2.880 Å, I = 9, (3 1 1)
2θ = 16.07°, d = 5.515 Å, I = 9, (1 1 1)

Simulated XRD peak list
Compound: HgRhF6
Radiation: λ = 1.5418 Å (Cu Kα)
Structure: DFT lattice parameters and positions (GGA-PBE)

```
data_HgRhF6
_cell_length_a 5.2898
_cell_length_b 5.2898
_cell_length_c 14.8597
_cell_angle_alpha 90.00
_cell_angle_beta 90.00
_cell_angle_gamma 120.00
_space_group_name_H-M_alt 'R -3'
_space_group_IT_number 148
_space_group_name_Hall '-R 3'
loop_
_atom_site_label
_atom_site_type_symbol
_atom_site_fract_x
_atom_site_fract_y
_atom_site_fract_z
Hg1 Hg 0.0000 0.0000 0.0000
Rh1 Rh 0.0000 0.0000 0.5000
F1 F 0.0172 0.7089 0.4236
```

Principal peaks in the range 10° ≤ 2θ ≤ 90°, in order of falling intensity:
2θ = 22.80°, d = 3.899 Å, I = 100, (0 1 2)
2θ = 30.99°, d = 2.885 Å, I = 45, (1 0 4)
2θ = 50.48°, d = 1.808 Å, I = 31, (2 -1 6)
2θ = 33.89°, d = 2.645 Å, I = 24, (1 1 0)
2θ = 41.24°, d = 2.189 Å, I = 21, (2 0 2)
2θ = 54.41°, d = 1.686 Å, I = 18, (3 -2 2)
2θ = 58.84°, d = 1.569 Å, I = 15, (3 -1 4)
2θ = 46.58°, d = 1.950 Å, I = 14, (0 2 4)
2θ = 53.22°, d = 1.721 Å, I = 12, (0 1 8)
2θ = 60.64°, d = 1.527 Å, I = 11, (3 0 0)

Please write out number 1 again, unchanged.
Simulated XRD peak list
Compound: Rb2HgRuF6
Radiation: λ = 1.5418 Å (Cu Kα)
Structure: DFT lattice parameters and positions (GGA-PBE)

```
data_Rb2HgRuF6
_cell_length_a 9.7009
_cell_length_b 9.7009
_cell_length_c 9.7009
_cell_angle_alpha 90.00
_cell_angle_beta 90.00
_cell_angle_gamma 90.00
_space_group_name_H-M_alt 'F m -3 m'
_space_group_IT_number 225
_space_group_name_Hall '-F 4 2 3'
loop_
_atom_site_label
_atom_site_type_symbol
_atom_site_fract_x
_atom_site_fract_y
_atom_site_fract_z
Rb1 Rb 0.2500 0.2500 0.2500
Hg1 Hg 0.0000 0.0000 0.0000
Ru1 Ru 0.0000 0.0000 0.5000
F1 F 0.0000 0.0000 0.2980
```

Principal peaks in the range 10° ≤ 2θ ≤ 90°, in order of falling intensity:
2θ = 25.98°, d = 3.430 Å, I = 100, (2 2 0)
2θ = 45.82°, d = 1.980 Å, I = 39, (4 2 2)
2θ = 37.07°, d = 2.425 Å, I = 31, (4 0 0)
2θ = 72.98°, d = 1.296 Å, I = 24, (6 4 2)
2θ = 60.35°, d = 1.534 Å, I = 22, (6 2 0)
2θ = 53.43°, d = 1.715 Å, I = 19, (4 4 0)
2θ = 18.29°, d = 4.850 Å, I = 18, (2 0 0)
2θ = 84.80°, d = 1.143 Å, I = 11, (6 6 0)
2θ = 30.56°, d = 2.925 Å, I = 7, (3 1 1)
2θ = 40.53°, d = 2.226 Å, I = 7, (3 3 1)